This entry pairs a crystal structure of ZrVTe2 with its calculated powder diffraction line list. Radiation: Cu Ka. Structure: DFT lattice parameters and positions (GGA-PBE).
Lines closer than 0.1° are merged.

Crystal structure
```
data_ZrVTe2
_chemical_formula_sum 'Zr4 V4 Te8'
_cell_length_a 8.850
_cell_length_b 6.660
_cell_length_c 8.422
_cell_angle_alpha 90.00
_cell_angle_beta 118.36
_cell_angle_gamma 90.00
_space_group_name_H-M_alt 'P 1'
_space_group_IT_number 1
loop_
_space_group_symop_operation_xyz
'x,y,z'
loop_
_atom_site_label
_atom_site_type_symbol
_atom_site_fract_x
_atom_site_fract_y
_atom_site_fract_z
Zr1 Zr 0.000 0.000 0.219
Zr2 Zr 0.000 0.000 0.781
Zr3 Zr 0.000 0.500 0.281
Zr4 Zr 0.000 0.500 0.719
V1 V 0.139 0.161 0.569
V2 V 0.139 0.339 0.069
V3 V 0.861 0.661 0.931
V4 V 0.861 0.839 0.431
Te1 Te 0.202 0.733 0.101
Te2 Te 0.202 0.767 0.601
Te3 Te 0.322 0.250 0.411
Te4 Te 0.322 0.250 0.911
Te5 Te 0.678 0.750 0.089
Te6 Te 0.678 0.750 0.589
Te7 Te 0.798 0.233 0.399
Te8 Te 0.798 0.267 0.899
```

Principal peaks in the range 5 to 70 degrees two-theta, in order of rising 2θ:
Position (°2θ)	d_spacing	intensity
11.4	7.788	644
27.6	3.237	1000
35.5	2.531	497
36.3	2.476	456
40.8	2.210	545
47.8	1.904	296

This entry pairs a crystal structure of Te2W with its calculated powder diffraction line list. Radiation: Cu Ka. Structure: DFT lattice parameters and positions (GGA-PBE).
Lines closer than 0.1° are merged.

Crystal structure
```
data_Te2W
_chemical_formula_sum 'Te4 W2'
_cell_length_a 3.556
_cell_length_b 3.556
_cell_length_c 14.928
_cell_angle_alpha 90.00
_cell_angle_beta 90.00
_cell_angle_gamma 120.00
_space_group_name_H-M_alt 'P 1'
_space_group_IT_number 1
loop_
_space_group_symop_operation_xyz
'x,y,z'
loop_
_atom_site_label
_atom_site_type_symbol
_atom_site_fract_x
_atom_site_fract_y
_atom_site_fract_z
Te1 Te 0.333 0.667 0.128
Te2 Te 0.333 0.667 0.371
Te3 Te 0.667 0.333 0.629
Te4 Te 0.667 0.333 0.872
W1 W 0.333 0.667 0.750
W2 W 0.667 0.333 0.250
```

Principal peaks in the range 5 to 70 degrees two-theta, in order of rising 2θ:
Position (°2θ)	d_spacing	intensity
11.9	7.464	830
29.0	3.080	399
34.2	2.619	1000
42.2	2.144	657
51.4	1.778	325
63.2	1.471	170

This entry pairs a crystal structure of Te2W with its calculated powder diffraction line list. Radiation: Cu Ka. Structure: DFT lattice parameters and positions (GGA-PBE).
Lines closer than 0.1° are merged.

Crystal structure
```
data_Te2W
_chemical_formula_sum 'Te8 W4'
_cell_length_a 15.764
_cell_length_b 3.501
_cell_length_c 6.324
_cell_angle_alpha 90.00
_cell_angle_beta 102.81
_cell_angle_gamma 90.00
_space_group_name_H-M_alt 'P 1'
_space_group_IT_number 1
loop_
_space_group_symop_operation_xyz
'x,y,z'
loop_
_atom_site_label
_atom_site_type_symbol
_atom_site_fract_x
_atom_site_fract_y
_atom_site_fract_z
Te1 Te 0.114 0.000 0.345
Te2 Te 0.154 0.500 0.875
Te3 Te 0.346 0.000 0.125
Te4 Te 0.386 0.500 0.655
Te5 Te 0.614 0.500 0.345
Te6 Te 0.654 0.000 0.875
Te7 Te 0.846 0.500 0.125
Te8 Te 0.886 0.000 0.655
W1 W 0.243 0.500 0.318
W2 W 0.257 0.000 0.682
W3 W 0.743 0.000 0.318
W4 W 0.757 0.500 0.682
```

Principal peaks in the range 5 to 70 degrees two-theta, in order of rising 2θ:
Position (°2θ)	d_spacing	intensity
11.5	7.686	1000
32.5	2.753	605
33.6	2.665	235
39.3	2.292	121
44.1	2.054	267
52.3	1.750	99

This entry pairs a crystal structure of Te3W5 with its calculated powder diffraction line list. Radiation: Cu Ka. Structure: DFT lattice parameters and positions (GGA-PBE).
Lines closer than 0.1° are merged.

Crystal structure
```
data_Te3W5
_chemical_formula_sum 'Te6 W10'
_cell_length_a 6.569
_cell_length_b 9.357
_cell_length_c 4.747
_cell_angle_alpha 90.00
_cell_angle_beta 90.00
_cell_angle_gamma 90.00
_space_group_name_H-M_alt 'P 1'
_space_group_IT_number 1
loop_
_space_group_symop_operation_xyz
'x,y,z'
loop_
_atom_site_label
_atom_site_type_symbol
_atom_site_fract_x
_atom_site_fract_y
_atom_site_fract_z
Te1 Te 0.000 0.000 0.000
Te2 Te 0.000 0.246 0.500
Te3 Te 0.000 0.754 0.500
Te4 Te 0.500 0.254 0.500
Te5 Te 0.500 0.500 0.000
Te6 Te 0.500 0.746 0.500
W1 W 0.000 0.500 0.000
W2 W 0.217 0.500 0.500
W3 W 0.250 0.250 0.000
W4 W 0.250 0.750 0.000
W5 W 0.283 0.000 0.500
W6 W 0.500 0.000 0.000
W7 W 0.717 0.000 0.500
W8 W 0.750 0.250 0.000
W9 W 0.750 0.750 0.000
W10 W 0.783 0.500 0.500
```

Principal peaks in the range 5 to 70 degrees two-theta, in order of rising 2θ:
Position (°2θ)	d_spacing	intensity
37.9	2.374	217
38.5	2.339	1000
55.1	1.666	148
68.9	1.364	153
69.6	1.351	200
70.0	1.344	60

This entry pairs a crystal structure of ZrTeW3 with its calculated powder diffraction line list. Radiation: Cu Ka. Structure: DFT lattice parameters and positions (GGA-PBE).
Lines closer than 0.1° are merged.

Crystal structure
```
data_ZrTeW3
_chemical_formula_sum 'Zr1 Te1 W3'
_cell_length_a 4.859
_cell_length_b 4.859
_cell_length_c 4.859
_cell_angle_alpha 90.00
_cell_angle_beta 90.00
_cell_angle_gamma 90.00
_space_group_name_H-M_alt 'P 1'
_space_group_IT_number 1
loop_
_space_group_symop_operation_xyz
'x,y,z'
loop_
_atom_site_label
_atom_site_type_symbol
_atom_site_fract_x
_atom_site_fract_y
_atom_site_fract_z
Zr1 Zr 0.000 0.000 0.000
Te1 Te 0.500 0.500 0.500
W1 W 0.000 0.500 0.500
W2 W 0.500 0.000 0.500
W3 W 0.500 0.500 0.000
```

Principal peaks in the range 5 to 70 degrees two-theta, in order of rising 2θ:
Position (°2θ)	d_spacing	intensity
18.3	4.859	446
31.9	2.805	900
37.0	2.430	1000
53.3	1.718	703
63.5	1.465	382
66.7	1.403	239

This entry pairs a crystal structure of YTe2 with its calculated powder diffraction line list. Radiation: Cu Ka. Structure: DFT lattice parameters and positions (GGA-PBE).
Lines closer than 0.1° are merged.

Crystal structure
```
data_YTe2
_chemical_formula_sum 'Y4 Te8'
_cell_length_a 3.921
_cell_length_b 3.921
_cell_length_c 25.117
_cell_angle_alpha 90.00
_cell_angle_beta 90.00
_cell_angle_gamma 90.00
_space_group_name_H-M_alt 'P 1'
_space_group_IT_number 1
loop_
_space_group_symop_operation_xyz
'x,y,z'
loop_
_atom_site_label
_atom_site_type_symbol
_atom_site_fract_x
_atom_site_fract_y
_atom_site_fract_z
Y1 Y 0.000 0.250 0.375
Y2 Y 0.000 0.750 0.625
Y3 Y 0.500 0.250 0.125
Y4 Y 0.500 0.750 0.875
Te1 Te 0.000 0.250 0.809
Te2 Te 0.000 0.250 0.941
Te3 Te 0.000 0.750 0.059
Te4 Te 0.000 0.750 0.191
Te5 Te 0.500 0.250 0.559
Te6 Te 0.500 0.250 0.691
Te7 Te 0.500 0.750 0.309
Te8 Te 0.500 0.750 0.441
```

Principal peaks in the range 5 to 70 degrees two-theta, in order of rising 2θ:
Position (°2θ)	d_spacing	intensity
23.0	3.874	349
28.9	3.091	458
33.1	2.708	1000
33.9	2.647	762
39.6	2.274	406
46.3	1.961	329

This entry pairs a crystal structure of Y2Te with its calculated powder diffraction line list. Radiation: Cu Ka. Structure: DFT lattice parameters and positions (GGA-PBE).
Lines closer than 0.1° are merged.

Crystal structure
```
data_Y2Te
_chemical_formula_sum 'Y8 Te4'
_cell_length_a 8.264
_cell_length_b 3.958
_cell_length_c 10.630
_cell_angle_alpha 90.00
_cell_angle_beta 90.00
_cell_angle_gamma 90.00
_space_group_name_H-M_alt 'P 1'
_space_group_IT_number 1
loop_
_space_group_symop_operation_xyz
'x,y,z'
loop_
_atom_site_label
_atom_site_type_symbol
_atom_site_fract_x
_atom_site_fract_y
_atom_site_fract_z
Y1 Y 0.004 0.250 0.164
Y2 Y 0.159 0.750 0.444
Y3 Y 0.341 0.250 0.944
Y4 Y 0.496 0.750 0.664
Y5 Y 0.504 0.250 0.336
Y6 Y 0.659 0.750 0.056
Y7 Y 0.841 0.250 0.556
Y8 Y 0.996 0.750 0.836
Te1 Te 0.198 0.250 0.669
Te2 Te 0.302 0.750 0.169
Te3 Te 0.698 0.250 0.831
Te4 Te 0.802 0.750 0.331
```

Principal peaks in the range 5 to 70 degrees two-theta, in order of rising 2θ:
Position (°2θ)	d_spacing	intensity
30.2	2.963	833
32.4	2.760	1000
33.6	2.667	478
35.5	2.530	417
35.7	2.516	844
45.9	1.979	280

This entry pairs a crystal structure of Y5Te3 with its calculated powder diffraction line list. Radiation: Cu Ka. Structure: DFT lattice parameters and positions (GGA-PBE).
Lines closer than 0.1° are merged.

Crystal structure
```
data_Y5Te3
_chemical_formula_sum 'Y10 Te6'
_cell_length_a 9.052
_cell_length_b 9.052
_cell_length_c 6.161
_cell_angle_alpha 90.00
_cell_angle_beta 90.00
_cell_angle_gamma 120.00
_space_group_name_H-M_alt 'P 1'
_space_group_IT_number 1
loop_
_space_group_symop_operation_xyz
'x,y,z'
loop_
_atom_site_label
_atom_site_type_symbol
_atom_site_fract_x
_atom_site_fract_y
_atom_site_fract_z
Y1 Y 0.000 0.256 0.250
Y2 Y 0.000 0.744 0.750
Y3 Y 0.256 0.000 0.250
Y4 Y 0.256 0.256 0.750
Y5 Y 0.333 0.667 0.000
Y6 Y 0.333 0.667 0.500
Y7 Y 0.667 0.333 0.000
Y8 Y 0.667 0.333 0.500
Y9 Y 0.744 0.000 0.750
Y10 Y 0.744 0.744 0.250
Te1 Te 0.000 0.384 0.750
Te2 Te 0.000 0.616 0.250
Te3 Te 0.384 0.000 0.750
Te4 Te 0.384 0.384 0.250
Te5 Te 0.616 0.000 0.250
Te6 Te 0.616 0.616 0.750
```

Principal peaks in the range 5 to 70 degrees two-theta, in order of rising 2θ:
Position (°2θ)	d_spacing	intensity
29.0	3.080	262
33.6	2.670	1000
34.3	2.613	726
35.2	2.547	877
44.2	2.050	233
54.4	1.688	246

This entry pairs a crystal structure of YTe2 with its calculated powder diffraction line list. Radiation: Cu Ka. Structure: DFT lattice parameters and positions (GGA-PBE).
Lines closer than 0.1° are merged.

Crystal structure
```
data_YTe2
_chemical_formula_sum 'Y2 Te4'
_cell_length_a 4.447
_cell_length_b 4.447
_cell_length_c 8.920
_cell_angle_alpha 90.00
_cell_angle_beta 90.00
_cell_angle_gamma 90.00
_space_group_name_H-M_alt 'P 1'
_space_group_IT_number 1
loop_
_space_group_symop_operation_xyz
'x,y,z'
loop_
_atom_site_label
_atom_site_type_symbol
_atom_site_fract_x
_atom_site_fract_y
_atom_site_fract_z
Y1 Y 0.250 0.250 0.229
Y2 Y 0.750 0.750 0.771
Te1 Te 0.250 0.250 0.872
Te2 Te 0.250 0.750 0.500
Te3 Te 0.750 0.250 0.500
Te4 Te 0.750 0.750 0.128
```

Principal peaks in the range 5 to 70 degrees two-theta, in order of rising 2θ:
Position (°2θ)	d_spacing	intensity
28.4	3.148	255
30.1	2.968	1000
34.9	2.570	481
36.3	2.472	258
40.6	2.224	389
55.6	1.654	222

This entry pairs a crystal structure of Y5Te4 with its calculated powder diffraction line list. Radiation: Cu Ka. Structure: DFT lattice parameters and positions (GGA-PBE).
Lines closer than 0.1° are merged.

Crystal structure
```
data_Y5Te4
_chemical_formula_sum 'Y10 Te8'
_cell_length_a 9.202
_cell_length_b 9.202
_cell_length_c 6.714
_cell_angle_alpha 90.00
_cell_angle_beta 90.00
_cell_angle_gamma 120.00
_space_group_name_H-M_alt 'P 1'
_space_group_IT_number 1
loop_
_space_group_symop_operation_xyz
'x,y,z'
loop_
_atom_site_label
_atom_site_type_symbol
_atom_site_fract_x
_atom_site_fract_y
_atom_site_fract_z
Y1 Y 0.000 0.276 0.250
Y2 Y 0.000 0.724 0.750
Y3 Y 0.276 0.000 0.250
Y4 Y 0.276 0.276 0.750
Y5 Y 0.333 0.667 0.000
Y6 Y 0.333 0.667 0.500
Y7 Y 0.667 0.333 0.000
Y8 Y 0.667 0.333 0.500
Y9 Y 0.724 0.000 0.750
Y10 Y 0.724 0.724 0.250
Te1 Te 0.000 0.000 0.000
Te2 Te 0.000 0.000 0.500
Te3 Te 0.000 0.389 0.750
Te4 Te 0.000 0.611 0.250
Te5 Te 0.389 0.000 0.750
Te6 Te 0.389 0.389 0.250
Te7 Te 0.611 0.000 0.250
Te8 Te 0.611 0.611 0.750
```

Principal peaks in the range 5 to 70 degrees two-theta, in order of rising 2θ:
Position (°2θ)	d_spacing	intensity
32.6	2.748	505
33.0	2.712	1000
33.7	2.656	723
43.1	2.099	206
47.9	1.898	228
65.8	1.419	200

This entry pairs a crystal structure of Y2Te with its calculated powder diffraction line list. Radiation: Cu Ka. Structure: DFT lattice parameters and positions (GGA-PBE).
Lines closer than 0.1° are merged.

Crystal structure
```
data_Y2Te
_chemical_formula_sum 'Y8 Te4'
_cell_length_a 4.021
_cell_length_b 15.562
_cell_length_c 6.047
_cell_angle_alpha 90.00
_cell_angle_beta 90.00
_cell_angle_gamma 90.00
_space_group_name_H-M_alt 'P 1'
_space_group_IT_number 1
loop_
_space_group_symop_operation_xyz
'x,y,z'
loop_
_atom_site_label
_atom_site_type_symbol
_atom_site_fract_x
_atom_site_fract_y
_atom_site_fract_z
Y1 Y 0.000 0.054 0.250
Y2 Y 0.000 0.358 0.250
Y3 Y 0.000 0.642 0.750
Y4 Y 0.000 0.946 0.750
Y5 Y 0.500 0.142 0.750
Y6 Y 0.500 0.446 0.750
Y7 Y 0.500 0.554 0.250
Y8 Y 0.500 0.858 0.250
Te1 Te 0.000 0.297 0.750
Te2 Te 0.000 0.703 0.250
Te3 Te 0.500 0.203 0.250
Te4 Te 0.500 0.797 0.750
```

Principal peaks in the range 5 to 70 degrees two-theta, in order of rising 2θ:
Position (°2θ)	d_spacing	intensity
28.1	3.178	890
29.5	3.024	717
31.8	2.813	1000
37.7	2.384	596
41.2	2.191	620
60.2	1.537	463

This entry pairs a crystal structure of YTe with its calculated powder diffraction line list. Radiation: Cu Ka. Structure: DFT lattice parameters and positions (GGA-PBE).
Lines closer than 0.1° are merged.

Crystal structure
```
data_YTe
_chemical_formula_sum 'Y6 Te6'
_cell_length_a 4.213
_cell_length_b 4.213
_cell_length_c 23.037
_cell_angle_alpha 90.00
_cell_angle_beta 90.00
_cell_angle_gamma 120.00
_space_group_name_H-M_alt 'P 1'
_space_group_IT_number 1
loop_
_space_group_symop_operation_xyz
'x,y,z'
loop_
_atom_site_label
_atom_site_type_symbol
_atom_site_fract_x
_atom_site_fract_y
_atom_site_fract_z
Y1 Y 0.000 0.000 0.000
Y2 Y 0.000 0.000 0.174
Y3 Y 0.333 0.667 0.667
Y4 Y 0.333 0.667 0.840
Y5 Y 0.667 0.333 0.333
Y6 Y 0.667 0.333 0.507
Te1 Te 0.000 0.000 0.419
Te2 Te 0.000 0.000 0.588
Te3 Te 0.333 0.667 0.086
Te4 Te 0.333 0.667 0.254
Te5 Te 0.667 0.333 0.752
Te6 Te 0.667 0.333 0.921
```

Principal peaks in the range 5 to 70 degrees two-theta, in order of rising 2θ:
Position (°2θ)	d_spacing	intensity
25.6	3.478	388
31.3	2.860	1000
36.8	2.444	534
42.9	2.107	551
54.1	1.696	207
65.8	1.419	292

This entry pairs a crystal structure of Y5Zn2Te2 with its calculated powder diffraction line list. Radiation: Cu Ka. Structure: DFT lattice parameters and positions (GGA-PBE).
Lines closer than 0.1° are merged.

Crystal structure
```
data_Y5Zn2Te2
_chemical_formula_sum 'Y10 Zn4 Te4'
_cell_length_a 8.705
_cell_length_b 8.705
_cell_length_c 7.870
_cell_angle_alpha 90.00
_cell_angle_beta 90.00
_cell_angle_gamma 54.31
_space_group_name_H-M_alt 'P 1'
_space_group_IT_number 1
loop_
_space_group_symop_operation_xyz
'x,y,z'
loop_
_atom_site_label
_atom_site_type_symbol
_atom_site_fract_x
_atom_site_fract_y
_atom_site_fract_z
Y1 Y 0.000 0.000 0.000
Y2 Y 0.039 0.705 0.665
Y3 Y 0.205 0.539 0.165
Y4 Y 0.295 0.961 0.665
Y5 Y 0.461 0.795 0.165
Y6 Y 0.500 0.500 0.500
Y7 Y 0.539 0.205 0.835
Y8 Y 0.705 0.039 0.335
Y9 Y 0.795 0.461 0.835
Y10 Y 0.961 0.295 0.335
Zn1 Zn 0.127 0.873 0.376
Zn2 Zn 0.373 0.627 0.876
Zn3 Zn 0.627 0.373 0.124
Zn4 Zn 0.873 0.127 0.624
Te1 Te 0.205 0.205 0.000
Te2 Te 0.295 0.295 0.500
Te3 Te 0.705 0.705 0.500
Te4 Te 0.795 0.795 0.000
```

Principal peaks in the range 5 to 70 degrees two-theta, in order of rising 2θ:
Position (°2θ)	d_spacing	intensity
30.7	2.912	938
32.0	2.796	800
33.1	2.710	849
34.3	2.615	1000
36.3	2.478	833
36.5	2.459	773

This entry pairs a crystal structure of YZn2Te2 with its calculated powder diffraction line list. Radiation: Cu Ka. Structure: DFT lattice parameters and positions (GGA-PBE).
Lines closer than 0.1° are merged.

Crystal structure
```
data_YZn2Te2
_chemical_formula_sum 'Y2 Zn4 Te4'
_cell_length_a 5.458
_cell_length_b 5.458
_cell_length_c 8.470
_cell_angle_alpha 90.00
_cell_angle_beta 90.00
_cell_angle_gamma 90.00
_space_group_name_H-M_alt 'P 1'
_space_group_IT_number 1
loop_
_space_group_symop_operation_xyz
'x,y,z'
loop_
_atom_site_label
_atom_site_type_symbol
_atom_site_fract_x
_atom_site_fract_y
_atom_site_fract_z
Y1 Y 0.000 0.000 0.000
Y2 Y 0.500 0.500 0.500
Zn1 Zn 0.000 0.000 0.359
Zn2 Zn 0.000 0.000 0.641
Zn3 Zn 0.500 0.500 0.141
Zn4 Zn 0.500 0.500 0.859
Te1 Te 0.000 0.500 0.250
Te2 Te 0.000 0.500 0.750
Te3 Te 0.500 0.000 0.250
Te4 Te 0.500 0.000 0.750
```

Principal peaks in the range 5 to 70 degrees two-theta, in order of rising 2θ:
Position (°2θ)	d_spacing	intensity
31.4	2.853	937
32.8	2.729	1000
35.8	2.508	321
47.1	1.930	358
49.4	1.847	250
57.7	1.598	324